Structure and computed PXRD pattern of MoO2 (a crystal structure in Alexandria, relaxed with PBE+U; a wavelength of 1.5418 Å).
Neutral-atom scattering factors, no anomalous dispersion.

```
data_MoO2
_chemical_formula_sum 'Mo8 O16'
_symmetry_space_group_name_H-M 'I 41/a m d'
_symmetry_Int_Tables_number 141
_cell_length_a 6.2006
_cell_length_b 6.2006
_cell_length_c 9.5813
_cell_angle_alpha 90.00
_cell_angle_beta 90.00
_cell_angle_gamma 90.00
loop_
_symmetry_equiv_pos_as_xyz
'x,y,z'
'-x,-y,-z'
'-y+1/4,x+3/4,z+1/4'
'y+1/4,-x+3/4,-z+1/4'
'-x+1/2,-y,z+1/2'
'x+1/2,y,-z+1/2'
'y+1/4,-x+1/4,z+3/4'
'-y+1/4,x+1/4,-z+3/4'
'x,-y,-z'
'-x,y,z'
'-y+1/4,-x+1/4,-z+3/4'
'y+1/4,x+1/4,z+3/4'
'-x+1/2,y,-z+1/2'
'x+1/2,-y,z+1/2'
'y+1/4,x+3/4,-z+1/4'
'-y+1/4,-x+3/4,z+1/4'
'x+1/2,y+1/2,z+1/2'
'-x+1/2,-y+1/2,-z+1/2'
'-y+3/4,x+1/4,z+3/4'
'y+3/4,-x+1/4,-z+3/4'
'-x,-y+1/2,z'
'x,y+1/2,-z'
'y+3/4,-x+3/4,z+1/4'
'-y+3/4,x+3/4,-z+1/4'
'x+1/2,-y+1/2,-z+1/2'
'-x+1/2,y+1/2,z+1/2'
'-y+3/4,-x+3/4,-z+1/4'
'y+3/4,x+3/4,z+1/4'
'-x,y+1/2,-z'
'x,-y+1/2,z'
'y+3/4,x+1/4,-z+3/4'
'-y+3/4,-x+1/4,z+3/4'
loop_
_atom_site_label
_atom_site_fract_x
_atom_site_fract_y
_atom_site_fract_z
Mo1 0.0000 0.0000 0.0000
O1 0.0000 0.0337 0.7769
```

Most intense lines, 5 to 70 degrees two-theta, low angle first:
- hkl 1 0 1, 17.0 deg, I = 100
- hkl 1 0 3, 31.5 deg, I = 13
- hkl 2 1 1, 33.6 deg, I = 27
- hkl 2 0 2, 34.5 deg, I = 25
- hkl 0 0 4, 37.5 deg, I = 16
- hkl 2 2 0, 41.2 deg, I = 26
- hkl 2 1 3, 43.2 deg, I = 9
- hkl 3 2 1, 54.2 deg, I = 10
- hkl 2 2 4, 56.9 deg, I = 17
- hkl 4 0 0, 59.6 deg, I = 8